# Ac4YRh4
Theoretical XRD peak list, Cu Kα X-rays. Input: a GGA-PBE-relaxed structure.

Unit cell a=13.938 b=4.289 c=10.219 alpha=90.00 beta=119.65 gamma=90.00
Space group C2/m (No. 12)
Unique sites:
Ac 0.108 0.000 0.390 (multiplicity 4)
Ac 0.197 0.500 0.809 (multiplicity 4)
Y 0.000 0.500 0.000 (multiplicity 2)
Rh 0.089 0.000 0.898 (multiplicity 4)
Rh 0.209 0.500 0.297 (multiplicity 4)

Top 6 peaks for 10 to 90 degrees two-theta, by angle:
d 3.470, rel. 23, (1 1 1)
d 2.998, rel. 100, (3 1 -2)
d 2.952, rel. 50, (2 0 2)
d 2.109, rel. 37, (5 1 0)
d 2.097, rel. 53, (1 1 -4)
d 1.735, rel. 22, (2 2 2)

=====

# TbNdCl
Theoretical XRD peak list, Cu Kα X-rays. Input: a GGA-PBE-relaxed structure.

Unit cell a=3.7682 b=3.7682 c=48.6942 alpha=90.00 beta=90.00 gamma=120.00
Space group R-3m (No. 166, hexagonal axes)
Unique sites:
Tb 0.0000 0.0000 0.1376 (multiplicity 6)
Nd 0.0000 0.0000 0.4107 (multiplicity 6)
Cl 0.0000 0.0000 0.2943 (multiplicity 6)

Top 6 peaks for 10 to 90 degrees two-theta, by angle:
d 3.152, rel. 71, (1 0 4)
d 2.954, rel. 100, (1 0 7)
d 2.705, rel. 26, (0 0 18)
d 2.627, rel. 77, (0 1 11)
d 1.884, rel. 37, (1 1 0)
d 1.546, rel. 27, (1 1 18)

=====

# UAlAgO6
Theoretical XRD peak list, Cu Kα X-rays. Input: a GGA-PBE-relaxed structure.

Unit cell a=5.033 b=5.033 c=9.091 alpha=90.00 beta=90.00 gamma=90.00
Space group P4_2nm (No. 102)
Unique sites:
U 0.000 0.000 0.000 (multiplicity 2)
Al 0.000 0.000 0.665 (multiplicity 2)
Ag 0.000 0.000 0.341 (multiplicity 2)
O 0.170 0.170 0.825 (multiplicity 4)
O 0.183 0.183 0.518 (multiplicity 4)
O 0.200 0.200 0.165 (multiplicity 4)

Top 6 peaks for 10 to 90 degrees two-theta, by angle:
d 4.403, rel. 58, (1 0 1)
d 3.559, rel. 100, (1 1 0)
d 2.802, rel. 25, (1 1 2)
d 2.596, rel. 63, (1 0 3)
d 2.516, rel. 24, (2 0 0)
d 1.807, rel. 61, (2 1 3)

=====

# Rb2SmC2O6
Theoretical XRD peak list, Cu Kα X-rays. Input: a GGA-PBE-relaxed structure.

Unit cell a=5.6958 b=5.6958 c=7.6577 alpha=90.00 beta=90.00 gamma=120.00
Space group P-3m1 (No. 164)
Unique sites:
Rb 0.3333 0.6667 0.3092 (multiplicity 2)
Sm 0.0000 0.0000 0.0000 (multiplicity 1)
C 0.3333 0.6667 0.8464 (multiplicity 2)
O 0.2013 0.4027 0.8409 (multiplicity 6)

Top 6 peaks for 10 to 90 degrees two-theta, by angle:
d 7.658, rel. 50, (0 0 1)
d 4.147, rel. 100, (0 1 1)
d 3.025, rel. 96, (1 0 2)
d 2.848, rel. 57, (1 1 0)
d 2.348, rel. 35, (2 0 1)
d 1.811, rel. 32, (1 2 1)

=====

# AlCd2B2O6
Theoretical XRD peak list, Cu Kα X-rays. Input: a GGA-PBE-relaxed structure.

Unit cell a=4.8685 b=4.8685 c=6.6618 alpha=90.00 beta=90.00 gamma=120.00
Space group P-3 (No. 147)
Unique sites:
Al 0.0000 0.0000 0.0000 (multiplicity 1)
Cd 0.3333 0.6667 0.6733 (multiplicity 2)
B 0.3333 0.6667 0.1641 (multiplicity 2)
O 0.0871 0.3556 0.1699 (multiplicity 6)

Top 6 peaks for 10 to 90 degrees two-theta, by angle:
d 3.563, rel. 100, (1 0 1)
d 2.614, rel. 81, (0 1 2)
d 2.434, rel. 38, (1 1 0)
d 2.010, rel. 37, (0 2 1)
d 1.641, rel. 30, (1 1 3)
d 1.549, rel. 39, (1 0 4)

=====

# Rb6O
Theoretical XRD peak list, Cu Kα X-rays. Input: a GGA-PBE-relaxed structure.

Unit cell a=8.5002 b=8.5002 c=30.2184 alpha=90.00 beta=90.00 gamma=120.00
Space group P6_3/m (No. 176)
Unique sites:
Rb 0.0000 0.0000 0.0000 (multiplicity 2)
Rb 0.0697 0.6826 0.1374 (multiplicity 12)
Rb 0.0818 0.4261 0.2500 (multiplicity 6)
Rb 0.3333 0.6667 0.5152 (multiplicity 4)
O 0.3333 0.6667 0.1857 (multiplicity 4)

Top 6 peaks for 10 to 90 degrees two-theta, by angle:
d 7.152, rel. 65, (1 0 1)
d 4.091, rel. 66, (1 1 2)
d 3.916, rel. 67, (1 1 3)
d 3.777, rel. 55, (0 0 8)
d 3.704, rel. 57, (1 1 4)
d 3.477, rel. 100, (1 1 5)

=====

# CsCd5In
Theoretical XRD peak list, Cu Kα X-rays. Input: a GGA-PBE-relaxed structure.

Unit cell a=9.939 b=6.441 c=12.500 alpha=90.00 beta=90.00 gamma=90.00
Space group Pnma (No. 62)
Unique sites:
Cs 0.239 0.250 0.059 (multiplicity 4)
Cd 0.073 0.014 0.311 (multiplicity 8)
Cd 0.075 0.750 0.098 (multiplicity 4)
Cd 0.085 0.250 0.523 (multiplicity 4)
Cd 0.179 0.250 0.755 (multiplicity 4)
In 0.139 0.750 0.857 (multiplicity 4)

Top 6 peaks for 10 to 90 degrees two-theta, by angle:
d 2.980, rel. 32, (1 0 4)
d 2.865, rel. 100, (3 1 1)
d 2.642, rel. 29, (2 2 1)
d 2.468, rel. 36, (1 2 3)
d 2.447, rel. 31, (2 1 4)
d 2.437, rel. 18, (4 0 1)

=====

# CsAlAs3
Theoretical XRD peak list, Cu Kα X-rays. Input: a GGA-PBE-relaxed structure.

Unit cell a=5.124 b=5.124 c=5.124 alpha=90.00 beta=90.00 gamma=90.00
Space group Pm-3m (No. 221)
Unique sites:
Cs 0.000 0.000 0.000 (multiplicity 1)
Al 0.500 0.500 0.500 (multiplicity 1)
As 0.000 0.500 0.500 (multiplicity 3)

Top 6 peaks for 10 to 90 degrees two-theta, by angle:
d 2.959, rel. 100, (1 1 1)
d 2.562, rel. 68, (2 0 0)
d 1.812, rel. 48, (2 2 0)
d 1.545, rel. 42, (3 1 1)
d 1.176, rel. 17, (3 3 1)
d 1.146, rel. 21, (4 2 0)

=====

# Na4Pu3ThSe8
Theoretical XRD peak list, Cu Kα X-rays. Input: a GGA-PBE-relaxed structure.

Unit cell a=8.4874 b=8.4874 c=20.8788 alpha=90.00 beta=90.00 gamma=120.00
Space group R-3m (No. 166, hexagonal axes)
Unique sites:
Na 0.0000 0.0000 0.0000 (multiplicity 3)
Na 0.0000 0.5000 0.0000 (multiplicity 9)
Pu 0.0000 0.5000 0.5000 (multiplicity 9)
Th 0.0000 0.0000 0.5000 (multiplicity 3)
Se 0.0000 0.0000 0.2427 (multiplicity 6)
Se 0.0022 0.5011 0.2449 (multiplicity 18)

Top 6 peaks for 10 to 90 degrees two-theta, by angle:
d 6.960, rel. 68, (0 0 3)
d 3.620, rel. 37, (0 2 1)
d 3.005, rel. 100, (0 2 4)
d 2.128, rel. 37, (2 0 8)
d 2.122, rel. 38, (2 2 0)
d 1.733, rel. 20, (4 0 4)

=====

# PmGa3B4O12
Theoretical XRD peak list, Cu Kα X-rays. Input: a GGA-PBE-relaxed structure.

Unit cell a=9.5864 b=9.5864 c=7.5991 alpha=90.00 beta=90.00 gamma=120.00
Space group R32 (No. 155, hexagonal axes)
Unique sites:
Pm 0.0000 0.0000 0.0000 (multiplicity 3)
Ga 0.0000 0.5507 0.0000 (multiplicity 9)
B 0.0000 0.0000 0.5000 (multiplicity 3)
B 0.0000 0.4460 0.5000 (multiplicity 9)
O 0.0000 0.5912 0.5000 (multiplicity 9)
O 0.0000 0.8549 0.5000 (multiplicity 9)
O 0.0265 0.2135 0.1861 (multiplicity 18)

Top 6 peaks for 10 to 90 degrees two-theta, by angle:
d 3.643, rel. 89, (0 2 1)
d 2.900, rel. 24, (2 1 1)
d 2.803, rel. 100, (2 0 2)
d 2.397, rel. 26, (2 2 0)
d 1.969, rel. 24, (3 1 2)
d 1.741, rel. 29, (2 2 3)

=====

# SmZnAs2Rh5
Theoretical XRD peak list, Cu Kα X-rays. Input: a GGA-PBE-relaxed structure.

Unit cell a=4.089 b=4.089 c=10.205 alpha=90.00 beta=90.00 gamma=90.00
Space group P4/mmm (No. 123)
Unique sites:
Sm 0.000 0.000 0.000 (multiplicity 1)
Zn 0.000 0.000 0.500 (multiplicity 1)
As 0.500 0.500 0.232 (multiplicity 2)
Rh 0.000 0.500 0.351 (multiplicity 4)
Rh 0.500 0.500 0.000 (multiplicity 1)

Top 6 peaks for 10 to 90 degrees two-theta, by angle:
d 3.402, rel. 55, (0 0 3)
d 3.191, rel. 47, (1 0 2)
d 2.782, rel. 93, (1 1 1)
d 2.044, rel. 80, (2 0 0)
d 1.913, rel. 100, (1 1 4)
d 1.153, rel. 38, (3 1 4)

=====

# PdS8O2
Theoretical XRD peak list, Cu Kα X-rays. Input: a GGA-PBE-relaxed structure.

Unit cell a=5.564 b=5.586 c=10.409 alpha=76.10 beta=88.92 gamma=65.94
Space group P-1 (No. 2)
Unique sites:
Pd 0.000 0.000 0.000 (multiplicity 1)
S 0.062 0.610 0.929 (multiplicity 2)
S 0.207 0.494 0.461 (multiplicity 2)
S 0.342 0.099 0.425 (multiplicity 2)
S 0.439 0.891 0.071 (multiplicity 2)
O 0.131 0.697 0.331 (multiplicity 2)

Top 6 peaks for 10 to 90 degrees two-theta, by angle:
d 5.036, rel. 100, (0 0 2)
d 4.950, rel. 28, (0 1 1)
d 4.692, rel. 29, (1 0 -1)
d 3.419, rel. 15, (1 0 2)
d 2.478, rel. 24, (0 2 2)
d 2.404, rel. 14, (2 0 1)